No. 1
This entry pairs a crystal structure of CaPuPtPb with its simulated powder diffractogram. Radiation: Cu Kα (λ = 1.5418 Å). Structure: the PBE geometry in Alexandria.

Largest 12 diffraction maxima, in order of falling intensity, 2θ = 15–90°:
33.45°, d = 2.679 Å, I 100; 36.19°, d = 2.482 Å, I 45; 63.35°, d = 1.468 Å, I 33; 52.11°, d = 1.755 Å, I 16; 57.97°, d = 1.591 Å, I 16; 27.60°, d = 3.232 Å, I 14; 70.28°, d = 1.339 Å, I 9; 43.67°, d = 2.073 Å, I 9; 41.59°, d = 2.171 Å, I 8; 87.97°, d = 1.110 Å, I 8; 51.18°, d = 1.785 Å, I 8; 37.84°, d = 2.378 Å, I 8

Cell and atoms:
Cell: 3.510 3.510 8.291 Å, 90.00 90.00 90.00°
Fractional positions:
Ca (0.000, 0.000, 0.000)
Pu (0.000, 0.000, 0.577)
Pt (0.500, 0.500, 0.776)
Pb (0.500, 0.500, 0.288)


No. 2
This entry pairs a crystal structure of Ac2MgAuO5 with its simulated powder diffractogram. Radiation: Cu Kα (λ = 1.5418 Å). Structure: the PBE geometry in Alexandria.

Largest 12 diffraction maxima, in order of falling intensity, 2θ = 15–90°:
28.75°, d = 3.105 Å, I 100; 31.31°, d = 2.857 Å, I 62; 17.22°, d = 5.150 Å, I 48; 42.07°, d = 2.148 Å, I 41; 41.11°, d = 2.196 Å, I 40; 54.17°, d = 1.693 Å, I 37; 30.06°, d = 2.973 Å, I 35; 34.84°, d = 2.575 Å, I 33; 27.38°, d = 3.257 Å, I 30; 52.57°, d = 1.741 Å, I 26; 62.48°, d = 1.487 Å, I 20; 46.67°, d = 1.946 Å, I 20

Cell and atoms:
Cell: 7.284 7.284 5.945 Å, 90.00 90.00 90.00°
Fractional positions:
Ac (0.181, 0.319, 0.000)
Ac (0.319, 0.819, 0.000)
Ac (0.681, 0.181, 0.000)
Ac (0.819, 0.681, 0.000)
Mg (0.000, 0.000, 0.500)
Mg (0.500, 0.500, 0.500)
Au (0.000, 0.500, 0.500)
Au (0.500, 0.000, 0.500)
O (0.000, 0.000, 0.000)
O (0.133, 0.633, 0.249)
O (0.133, 0.633, 0.751)
O (0.367, 0.133, 0.249)
O (0.367, 0.133, 0.751)
O (0.500, 0.500, 0.000)
O (0.633, 0.867, 0.249)
O (0.633, 0.867, 0.751)
O (0.867, 0.367, 0.249)
O (0.867, 0.367, 0.751)


No. 3
This entry pairs a crystal structure of Li2BeIrN2 with its simulated powder diffractogram. Radiation: Cu Kα (λ = 1.5418 Å). Structure: the PBE geometry in Alexandria.

Largest 12 diffraction maxima, in order of falling intensity, 2θ = 15–90°:
22.34°, d = 3.980 Å, I 100; 18.63°, d = 4.764 Å, I 81; 42.10°, d = 2.146 Å, I 48; 34.89°, d = 2.571 Å, I 33; 32.52°, d = 2.753 Å, I 31; 37.41°, d = 2.404 Å, I 28; 53.46°, d = 1.714 Å, I 23; 42.40°, d = 2.132 Å, I 23; 54.21°, d = 1.692 Å, I 20; 45.58°, d = 1.990 Å, I 17; 75.76°, d = 1.256 Å, I 15; 58.07°, d = 1.588 Å, I 13

Cell and atoms:
Cell: 4.381 9.528 2.876 Å, 90.00 90.00 90.00°
Fractional positions:
Li (0.111, 0.248, 0.000)
Li (0.389, 0.748, 0.500)
Li (0.611, 0.252, 0.500)
Li (0.889, 0.752, 0.000)
Be (0.000, 0.000, 0.500)
Be (0.500, 0.500, 0.000)
Ir (0.000, 0.500, 0.500)
Ir (0.500, 0.000, 0.000)
N (0.245, 0.618, 0.000)
N (0.255, 0.118, 0.500)
N (0.745, 0.882, 0.500)
N (0.755, 0.382, 0.000)


No. 4
This entry pairs a crystal structure of Pm10ErTh4 with its simulated powder diffractogram. Radiation: Cu Kα (λ = 1.5418 Å). Structure: the PBE geometry in Alexandria.

Largest 12 diffraction maxima, in order of falling intensity, 2θ = 15–90°:
28.42°, d = 3.141 Å, I 100; 32.19°, d = 2.781 Å, I 90; 33.24°, d = 2.695 Å, I 82; 28.65°, d = 3.115 Å, I 81; 26.46°, d = 3.369 Å, I 70; 44.45°, d = 2.038 Å, I 51; 33.85°, d = 2.648 Å, I 48; 41.56°, d = 2.173 Å, I 26; 53.80°, d = 1.704 Å, I 24; 38.13°, d = 2.360 Å, I 24; 57.55°, d = 1.602 Å, I 24; 59.50°, d = 1.554 Å, I 22

Cell and atoms:
Cell: 8.800 8.800 8.800 Å, 111.92 111.92 104.67°
Fractional positions:
Pm (0.042, 0.948, 0.672)
Pm (0.052, 0.724, 0.093)
Pm (0.250, 0.750, 0.500)
Pm (0.276, 0.369, 0.328)
Pm (0.369, 0.042, 0.093)
Pm (0.631, 0.958, 0.907)
Pm (0.724, 0.631, 0.672)
Pm (0.750, 0.250, 0.500)
Pm (0.948, 0.276, 0.907)
Pm (0.958, 0.052, 0.328)
Er (0.500, 0.500, 0.000)
Th (0.166, 0.559, 0.725)
Th (0.441, 0.166, 0.607)
Th (0.559, 0.834, 0.393)
Th (0.834, 0.441, 0.275)


No. 5
This entry pairs a crystal structure of Mn2Cd2Pd5 with its simulated powder diffractogram. Radiation: Cu Kα (λ = 1.5418 Å). Structure: the PBE geometry in Alexandria.

Largest 12 diffraction maxima, in order of falling intensity, 2θ = 15–90°:
41.25°, d = 2.189 Å, I 100; 34.36°, d = 2.610 Å, I 86; 38.77°, d = 2.323 Å, I 70; 38.14°, d = 2.360 Å, I 37; 41.40°, d = 2.181 Å, I 35; 43.02°, d = 2.102 Å, I 32; 66.37°, d = 1.408 Å, I 28; 52.90°, d = 1.731 Å, I 18; 76.24°, d = 1.249 Å, I 17; 81.77°, d = 1.178 Å, I 17; 30.16°, d = 2.963 Å, I 16; 67.98°, d = 1.379 Å, I 15

Cell and atoms:
Cell: 9.201 9.201 9.201 Å, 143.99 57.90 136.26°
Fractional positions:
Mn (0.136, 0.063, 0.073)
Mn (0.489, 0.063, 0.427)
Mn (0.511, 0.937, 0.573)
Mn (0.864, 0.937, 0.927)
Cd (0.000, 0.500, 0.500)
Cd (0.195, 0.445, 0.750)
Cd (0.500, 0.500, 0.000)
Cd (0.805, 0.555, 0.250)
Pd (0.141, 0.000, 0.641)
Pd (0.141, 0.500, 0.141)
Pd (0.199, 0.949, 0.250)
Pd (0.417, 0.000, 0.917)
Pd (0.417, 0.500, 0.417)
Pd (0.583, 0.000, 0.083)
Pd (0.583, 0.500, 0.583)
Pd (0.801, 0.051, 0.750)
Pd (0.859, 0.000, 0.359)
Pd (0.859, 0.500, 0.859)


No. 6
This entry pairs a crystal structure of K2AlI5 with its simulated powder diffractogram. Radiation: Cu Kα (λ = 1.5418 Å). Structure: the PBE geometry in Alexandria.

Largest 12 diffraction maxima, in order of falling intensity, 2θ = 15–90°:
22.54°, d = 3.945 Å, I 100; 29.24°, d = 3.054 Å, I 45; 22.18°, d = 4.007 Å, I 44; 25.16°, d = 3.540 Å, I 37; 35.92°, d = 2.500 Å, I 34; 23.16°, d = 3.840 Å, I 33; 23.67°, d = 3.759 Å, I 31; 25.46°, d = 3.499 Å, I 26; 46.22°, d = 1.964 Å, I 25; 32.65°, d = 2.743 Å, I 24; 32.48°, d = 2.757 Å, I 21; 16.42°, d = 5.400 Å, I 18

Cell and atoms:
Cell: 13.120 14.706 10.005 Å, 90.00 90.00 90.00°
Fractional positions:
K (0.000, 0.000, 0.228)
K (0.000, 0.000, 0.772)
K (0.117, 0.320, 0.000)
K (0.383, 0.820, 0.500)
K (0.500, 0.500, 0.272)
K (0.500, 0.500, 0.728)
K (0.617, 0.180, 0.500)
K (0.883, 0.680, 0.000)
Al (0.249, 0.222, 0.500)
Al (0.251, 0.722, 0.000)
Al (0.749, 0.278, 0.000)
Al (0.751, 0.778, 0.500)
I (0.061, 0.170, 0.500)
I (0.134, 0.580, 0.000)
I (0.149, 0.099, 0.000)
I (0.212, 0.817, 0.208)
I (0.212, 0.817, 0.792)
I (0.288, 0.317, 0.292)
I (0.288, 0.317, 0.708)
I (0.351, 0.599, 0.500)
I (0.366, 0.080, 0.500)
I (0.439, 0.670, 0.000)
I (0.561, 0.330, 0.000)
I (0.634, 0.920, 0.500)
I (0.649, 0.401, 0.500)
I (0.712, 0.683, 0.292)
I (0.712, 0.683, 0.708)
I (0.788, 0.183, 0.208)
I (0.788, 0.183, 0.792)
I (0.851, 0.901, 0.000)
I (0.866, 0.420, 0.000)
I (0.939, 0.830, 0.500)


No. 7
This entry pairs a crystal structure of ReIr8Rh3 with its simulated powder diffractogram. Radiation: Cu Kα (λ = 1.5418 Å). Structure: the PBE geometry in Alexandria.

Largest 12 diffraction maxima, in order of falling intensity, 2θ = 15–90°:
42.12°, d = 2.145 Å, I 100; 22.74°, d = 3.910 Å, I 40; 27.09°, d = 3.292 Å, I 26; 39.69°, d = 2.271 Å, I 26; 46.45°, d = 1.955 Å, I 24; 50.28°, d = 1.815 Å, I 23; 43.06°, d = 2.101 Å, I 18; 70.86°, d = 1.330 Å, I 17; 49.24°, d = 1.850 Å, I 16; 34.97°, d = 2.566 Å, I 15; 83.13°, d = 1.162 Å, I 14; 83.63°, d = 1.156 Å, I 13

Cell and atoms:
Cell: 8.621 8.621 8.621 Å, 145.36 145.36 49.79°
Fractional positions:
Re (0.000, 0.000, 0.000)
Ir (0.079, 0.079, 0.409)
Ir (0.168, 0.573, 0.000)
Ir (0.330, 0.921, 0.000)
Ir (0.427, 0.427, 0.595)
Ir (0.573, 0.168, 0.000)
Ir (0.670, 0.670, 0.591)
Ir (0.832, 0.832, 0.405)
Ir (0.921, 0.330, 0.000)
Rh (0.250, 0.750, 0.500)
Rh (0.500, 0.500, 0.000)
Rh (0.750, 0.250, 0.500)


No. 8
This entry pairs a crystal structure of TbYNi4B4C2 with its simulated powder diffractogram. Radiation: Cu Kα (λ = 1.5418 Å). Structure: the PBE geometry in Alexandria.

Largest 12 diffraction maxima, in order of falling intensity, 2θ = 15–90°:
39.86°, d = 2.262 Å, I 100; 26.51°, d = 3.363 Å, I 45; 34.63°, d = 2.590 Å, I 34; 36.27°, d = 2.477 Å, I 31; 51.40°, d = 1.778 Å, I 26; 65.59°, d = 1.423 Å, I 23; 63.47°, d = 1.466 Å, I 22; 89.12°, d = 1.099 Å, I 18; 64.53°, d = 1.444 Å, I 12; 58.75°, d = 1.572 Å, I 11; 51.02°, d = 1.790 Å, I 10; 85.96°, d = 1.131 Å, I 9

Cell and atoms:
Cell: 3.555 3.555 10.360 Å, 90.00 90.00 90.00°
Fractional positions:
Tb (0.000, 0.000, 0.000)
Y (0.500, 0.500, 0.500)
Ni (0.000, 0.500, 0.250)
Ni (0.000, 0.500, 0.750)
Ni (0.500, 0.000, 0.250)
Ni (0.500, 0.000, 0.750)
B (0.000, 0.000, 0.356)
B (0.000, 0.000, 0.644)
B (0.500, 0.500, 0.144)
B (0.500, 0.500, 0.856)
C (0.000, 0.000, 0.500)
C (0.500, 0.500, 0.000)